Structure and calculated powder X-ray diffraction pattern of Cs4Pr3VO8 (a cell relaxed with PBE+U; Cu Ka).

Principal peaks in the range 2θ from 15° to 90°, by angle:
2θ 25.79, I = 72
2θ 29.47, I = 44
2θ 29.79, I = 85
2θ 33.06, I = 53
2θ 33.46, I = 100
2θ 45.26, I = 18
2θ 45.40, I = 37
2θ 50.01, I = 32
2θ 53.02, I = 33
2θ 70.28, I = 26

Atomic structure:
```
data_Cs4Pr3VO8
_cell_length_a 7.2963
_cell_length_b 7.2963
_cell_length_c 8.0890
_cell_angle_alpha 116.90
_cell_angle_beta 116.90
_cell_angle_gamma 59.15
_space_group_name_H-M_alt 'P 1'
_space_group_IT_number 1
_space_group_name_Hall 'P 1'
loop_
_atom_site_label
_atom_site_type_symbol
_atom_site_fract_x
_atom_site_fract_y
_atom_site_fract_z
Cs1 Cs 0.0000 0.0000 0.0000
Cs2 Cs 0.0000 0.5000 0.0000
Cs3 Cs 0.5000 0.0000 0.0000
Cs4 Cs 0.5000 0.5000 0.0000
Pr1 Pr 0.0000 0.0000 0.5000
Pr2 Pr 0.0000 0.5000 0.5000
Pr3 Pr 0.5000 0.0000 0.5000
V1 V 0.5000 0.5000 0.5000
O1 O 0.2222 0.2222 0.6725
O2 O 0.2557 0.6999 0.6581
O3 O 0.2728 0.2728 0.3209
O4 O 0.3001 0.7443 0.3419
O5 O 0.6999 0.2557 0.6581
O6 O 0.7272 0.7272 0.6791
O7 O 0.7443 0.3001 0.3419
O8 O 0.7778 0.7778 0.3275
```